Diffraction record for Ba3MnF12. The PXRD pattern is calculated, not measured: it uses a cell relaxed with GGA+U and CuKα.

Largest 10 diffraction maxima, low angle first, 10° ≤ 2θ ≤ 90°:
2θ (°), I (rel.)
12.41, 100
12.98, 48
18.10, 72
21.75, 23
24.97, 36
25.26, 31
35.77, 33
36.32, 18
36.67, 21
37.15, 38

Atomic structure:
a = 8.1759 Å, b = 8.1759 Å, c = 6.8244 Å
α = 91.23°, β = 91.23°, γ = 119.20°
Fractional coordinates of all 16 atoms:
Ba 0.0000 0.0000 0.0000
Ba 0.0000 0.5000 0.5000
Ba 0.5000 0.0000 0.5000
Mn 0.0000 0.0000 0.5000
F 0.0173 0.1956 0.3459
F 0.1370 0.2782 0.7406
F 0.1956 0.0173 0.3459
F 0.2550 0.6992 0.2807
F 0.2782 0.1370 0.7406
F 0.3008 0.7450 0.7193
F 0.6992 0.2550 0.2807
F 0.7218 0.8630 0.2594
F 0.7450 0.3008 0.7193
F 0.8044 0.9827 0.6541
F 0.8630 0.7218 0.2594
F 0.9827 0.8044 0.6541